Simulated XRD peak list of Sm2CuSe2O for Cu Kα X-rays, from a cell relaxed with GGA-PBE.
Lines closer than 0.1° are merged.

Structure:
Unit cell a=3.4832 b=3.4832 c=14.3743 alpha=90.00 beta=90.00 gamma=90.00
Space group P4/mmm (No. 123)
Inequivalent atoms, fractional coordinates:
Sm (0.0000, 0.0000, 0.1453) x2
Cu (0.0000, 0.0000, 0.5000) x1
Se (0.0000, 0.0000, 0.3442) x2
O (0.0000, 0.0000, 0.0000) x1

Largest 10 diffraction maxima, low angle first, 2θ = 5–70°:
h k l  Position (°2θ)  d (Å)  I/Imax
0 0 4  24.8  3.594  15
1 0 0  25.6  3.483  100
1 0 4  35.9  2.501  23
1 1 0  36.5  2.463  39
0 0 6  37.5  2.396  12
1 1 4  44.6  2.032  13
1 0 6  46.0  1.974  26
2 0 0  52.5  1.742  13
1 1 6  53.3  1.717  17
2 1 0  59.3  1.558  18

***

Simulated XRD peak list of Li2MgSb for Cu Kα X-rays, from a cell relaxed with GGA-PBE.
Lines closer than 0.1° are merged.

Structure:
Unit cell a=6.9460 b=6.9460 c=6.9460 alpha=90.00 beta=90.00 gamma=90.00
Space group F-43m (No. 216)
Inequivalent atoms, fractional coordinates:
Li (0.0000, 0.0000, 0.0000) x4
Li (0.2500, 0.2500, 0.2500) x4
Mg (0.2500, 0.2500, 0.7500) x4
Sb (0.0000, 0.0000, 0.5000) x4

Largest 9 diffraction maxima, low angle first, 2θ = 5–70°:
h k l  Position (°2θ)  d (Å)  I/Imax
1 1 1  22.2  4.010  100
2 0 0  25.6  3.473  34
2 2 0  36.6  2.456  73
3 1 1  43.2  2.094  51
2 2 2  45.2  2.005  10
4 0 0  52.7  1.737  13
3 3 1  57.9  1.594  21
4 2 0  59.5  1.553  13
4 2 2  65.9  1.418  25